This entry pairs a crystal structure of Tl2GeTe2 with its theoretical powder X-ray diffraction pattern. Radiation: CuKα. Structure: a cell relaxed with GGA-PBE.

Largest 10 diffraction maxima, low angle first, 2θ from 15° to 90°:
hkl 0 6 1, 26.92 deg, intensity 55; hkl 0 2 2, 27.13 deg, intensity 40; hkl 1 5 0, 28.36 deg, intensity 100; hkl 1 1 2, 33.39 deg, intensity 16; hkl 0 8 1, 34.28 deg, intensity 23; hkl 1 3 2, 35.27 deg, intensity 55; hkl 1 5 2, 38.81 deg, intensity 28; hkl 2 0 0, 41.23 deg, intensity 27; hkl 2 2 2, 50.03 deg, intensity 23; hkl 0 0 4, 53.32 deg, intensity 17

Atomic structure:
```
data_Tl2GeTe2
_space_group_name_H-M_alt 'C m c 21'
_space_group_IT_number 36
_cell_length_a 4.3786
_cell_length_b 22.6294
_cell_length_c 6.8707
_cell_angle_alpha 90.00
_cell_angle_beta 90.00
_cell_angle_gamma 90.00
loop_
_space_group_symop_operation_xyz
'x,y,z'
'-x,-y,z+1/2'
'-x,y,z'
'x,-y,z+1/2'
'x+1/2,y+1/2,z'
'-x+1/2,-y+1/2,z+1/2'
'-x+1/2,y+1/2,z'
'x+1/2,-y+1/2,z+1/2'
loop_
_atom_site_label
_atom_site_type_symbol
_atom_site_fract_x
_atom_site_fract_y
_atom_site_fract_z
Tl1 Tl 0.0000 0.0312 0.0000
Tl2 Tl 0.0000 0.1999 0.2589
Ge1 Ge 0.0000 0.4007 0.2028
Te1 Te 0.0000 0.1751 0.7733
Te2 Te 0.0000 0.4081 0.8067
```

This entry pairs a crystal structure of Tb5Ru2Rh with its theoretical powder X-ray diffraction pattern. Radiation: CuKα. Structure: a cell relaxed with GGA-PBE.

Largest 10 diffraction maxima, low angle first, 2θ from 15° to 90°:
hkl 1 1 4, 30.87 deg, intensity 16; hkl 2 1 3, 33.29 deg, intensity 100; hkl 2 2 0, 34.34 deg, intensity 16; hkl 2 0 4, 35.43 deg, intensity 47; hkl 3 1 0, 38.55 deg, intensity 47; hkl 2 1 5, 42.45 deg, intensity 12; hkl 0 0 8, 52.57 deg, intensity 14; hkl 4 1 3, 54.94 deg, intensity 18; hkl 3 3 4, 59.35 deg, intensity 16; hkl 3 1 8, 67.05 deg, intensity 13

Atomic structure:
```
data_Tb5Ru2Rh
_space_group_name_H-M_alt 'I 4/m c m'
_space_group_IT_number 140
_space_group_name_Hall '-I 4 2c'
_cell_length_a 7.3858
_cell_length_b 7.3858
_cell_length_c 13.9265
_cell_angle_alpha 90.00
_cell_angle_beta 90.00
_cell_angle_gamma 90.00
loop_
_atom_site_label
_atom_site_type_symbol
_atom_site_fract_x
_atom_site_fract_y
_atom_site_fract_z
Tb1 Tb 0.0000 0.0000 0.0000
Tb2 Tb 0.1734 0.3266 0.1416
Ru1 Ru 0.1271 0.3729 0.5000
Rh1 Rh 0.0000 0.0000 0.2500
```

This entry pairs a crystal structure of LaSnH8Ir2 with its theoretical powder X-ray diffraction pattern. Radiation: CuKα. Structure: a cell relaxed with GGA-PBE.

Largest 10 diffraction maxima, low angle first, 2θ from 15° to 90°:
hkl 1 0 4, 28.78 deg, intensity 100; hkl 0 1 5, 32.49 deg, intensity 16; hkl 1 1 0, 36.41 deg, intensity 68; hkl 1 0 7, 40.91 deg, intensity 12; hkl 0 1 8, 45.50 deg, intensity 14; hkl 0 2 4, 47.06 deg, intensity 27; hkl 1 1 9, 59.43 deg, intensity 12; hkl 2 1 4, 60.91 deg, intensity 25; hkl 3 0 0, 65.51 deg, intensity 12; hkl 2 2 0, 77.35 deg, intensity 12

Atomic structure:
```
data_LaSnH8Ir2
_space_group_name_H-M_alt 'R -3 m'
_space_group_IT_number 166
_space_group_name_Hall '-R 3 2"'
_cell_length_a 4.9358
_cell_length_b 4.9358
_cell_length_c 18.0293
_cell_angle_alpha 90.00
_cell_angle_beta 90.00
_cell_angle_gamma 120.00
loop_
_atom_site_label
_atom_site_type_symbol
_atom_site_fract_x
_atom_site_fract_y
_atom_site_fract_z
La1 La 0.0000 0.0000 0.0000
Sn1 Sn 0.0000 0.0000 0.5000
H1 H 0.0000 0.0000 0.3164
H2 H 0.0538 0.5269 0.5547
Ir1 Ir 0.0000 0.0000 0.2263
```

This entry pairs a crystal structure of Pm2SmZn2 with its theoretical powder X-ray diffraction pattern. Radiation: CuKα. Structure: a cell relaxed with GGA-PBE.

Largest 10 diffraction maxima, low angle first, 2θ from 15° to 90°:
hkl 0 1 3, 26.00 deg, intensity 18; hkl 0 0 5, 33.03 deg, intensity 19; hkl 1 1 2, 33.93 deg, intensity 100; hkl 0 2 0, 34.11 deg, intensity 28; hkl 0 2 5, 48.21 deg, intensity 13; hkl 2 0 -1, 49.26 deg, intensity 10; hkl 1 1 7, 59.57 deg, intensity 8; hkl 1 3 2, 60.94 deg, intensity 18; hkl 2 2 -1, 61.28 deg, intensity 10; hkl 2 2 4, 71.40 deg, intensity 8

Atomic structure:
```
data_Pm2SmZn2
_space_group_name_H-M_alt 'P 1 21/m 1'
_space_group_IT_number 11
_cell_length_a 3.6994
_cell_length_b 5.2572
_cell_length_c 13.6860
_cell_angle_alpha 90.00
_cell_angle_beta 97.80
_cell_angle_gamma 90.00
loop_
_space_group_symop_operation_xyz
'x,y,z'
'-x,-y,-z'
'-x,y+1/2,-z'
'x,-y+1/2,z'
loop_
_atom_site_label
_atom_site_type_symbol
_atom_site_fract_x
_atom_site_fract_y
_atom_site_fract_z
Pm1 Pm 0.0462 0.2500 0.0918
Pm2 Pm 0.2316 0.2500 0.4642
Sm1 Sm 0.1432 0.7500 0.2840
Zn1 Zn 0.3602 0.7500 0.7214
Zn2 Zn 0.4503 0.2500 0.9014
```

This entry pairs a crystal structure of ScIn2I5 with its theoretical powder X-ray diffraction pattern. Radiation: CuKα. Structure: a cell relaxed with GGA-PBE.

Largest 10 diffraction maxima, low angle first, 2θ from 15° to 90°:
hkl 2 0 0, 20.82 deg, intensity 44; hkl 2 2 -1, 22.41 deg, intensity 56; hkl 1 1 1, 22.99 deg, intensity 48; hkl 2 0 -2, 23.99 deg, intensity 82; hkl 2 2 0, 25.23 deg, intensity 96; hkl 2 2 -2, 27.93 deg, intensity 45; hkl 0 4 0, 28.40 deg, intensity 100; hkl 1 3 1, 30.64 deg, intensity 60; hkl 1 3 -2, 32.38 deg, intensity 35; hkl 2 4 -2, 37.51 deg, intensity 38

Atomic structure:
```
data_ScIn2I5
_space_group_name_H-M_alt 'C 1 m 1'
_space_group_IT_number 8
_cell_length_a 10.3347
_cell_length_b 12.5701
_cell_length_c 7.5702
_cell_angle_alpha 90.00
_cell_angle_beta 124.36
_cell_angle_gamma 90.00
loop_
_space_group_symop_operation_xyz
'x,y,z'
'x,-y,z'
'x+1/2,y+1/2,z'
'x+1/2,-y+1/2,z'
loop_
_atom_site_label
_atom_site_type_symbol
_atom_site_fract_x
_atom_site_fract_y
_atom_site_fract_z
Sc1 Sc 0.0000 0.0000 0.0000
In1 In 0.0706 0.2783 0.6516
I1 I 0.0121 0.0000 0.6448
I2 I 0.2087 0.5000 0.9548
I3 I 0.2955 0.0000 0.3783
I4 I 0.4793 0.2689 0.9973
```

This entry pairs a crystal structure of Pm3Cd2C with its theoretical powder X-ray diffraction pattern. Radiation: CuKα. Structure: a cell relaxed with GGA-PBE.

Largest 10 diffraction maxima, low angle first, 2θ from 15° to 90°:
hkl 1 1 1, 30.67 deg, intensity 100; hkl 1 5 0, 32.71 deg, intensity 94; hkl 0 4 1, 33.36 deg, intensity 58; hkl 2 0 0, 34.52 deg, intensity 61; hkl 2 4 1, 48.75 deg, intensity 40; hkl 3 1 1, 59.45 deg, intensity 15; hkl 1 9 1, 60.45 deg, intensity 22; hkl 3 5 0, 60.68 deg, intensity 16; hkl 1 5 2, 61.58 deg, intensity 30; hkl 2 0 2, 62.70 deg, intensity 16

Atomic structure:
```
data_Pm3Cd2C
_space_group_name_H-M_alt 'C m m m'
_space_group_IT_number 65
_space_group_name_Hall '-C 2 2'
_cell_length_a 5.1996
_cell_length_b 16.0993
_cell_length_c 3.6068
_cell_angle_alpha 90.00
_cell_angle_beta 90.00
_cell_angle_gamma 90.00
loop_
_atom_site_label
_atom_site_type_symbol
_atom_site_fract_x
_atom_site_fract_y
_atom_site_fract_z
Pm1 Pm 0.0000 0.0000 0.0000
Pm2 Pm 0.0000 0.3886 0.5000
Cd1 Cd 0.0000 0.2018 0.0000
C1 C 0.0000 0.5000 0.0000
```

This entry pairs a crystal structure of Ga3Co3Ge with its theoretical powder X-ray diffraction pattern. Radiation: CuKα. Structure: a cell relaxed with GGA-PBE.

Largest 10 diffraction maxima, low angle first, 2θ from 15° to 90°:
hkl 1 0 1, 21.88 deg, intensity 12; hkl 1 1 0, 22.09 deg, intensity 10; hkl 0 2 1, 31.29 deg, intensity 14; hkl 2 1 1, 38.63 deg, intensity 5; hkl 2 0 2, 44.60 deg, intensity 100; hkl 2 2 0, 45.06 deg, intensity 97; hkl 0 4 2, 65.27 deg, intensity 30; hkl 0 2 4, 81.86 deg, intensity 15; hkl 4 2 2, 82.84 deg, intensity 30; hkl 6 0 0, 83.16 deg, intensity 15

Atomic structure:
```
data_Ga3Co3Ge
_space_group_name_H-M_alt 'R 3 m'
_space_group_IT_number 160
_space_group_name_Hall 'R 3 -2"'
_cell_length_a 8.0480
_cell_length_b 8.0480
_cell_length_c 5.0004
_cell_angle_alpha 90.00
_cell_angle_beta 90.00
_cell_angle_gamma 120.00
loop_
_atom_site_label
_atom_site_type_symbol
_atom_site_fract_x
_atom_site_fract_y
_atom_site_fract_z
Ga1 Ga 0.0001 0.5001 0.0000
Co1 Co 0.9999 0.5000 0.4999
Ge1 Ge 0.0000 0.0000 0.9990
```

This entry pairs a crystal structure of Mg3H4O with its theoretical powder X-ray diffraction pattern. Radiation: CuKα. Structure: a cell relaxed with GGA-PBE.

Largest 10 diffraction maxima, low angle first, 2θ from 15° to 90°:
hkl 2 0 0, 17.90 deg, intensity 35; hkl 1 1 -1, 22.50 deg, intensity 26; hkl 1 1 1, 25.77 deg, intensity 17; hkl 0 0 2, 27.04 deg, intensity 23; hkl 1 1 -2, 31.40 deg, intensity 57; hkl 3 1 0, 32.56 deg, intensity 100; hkl 0 2 0, 36.22 deg, intensity 42; hkl 4 0 -2, 37.78 deg, intensity 15; hkl 4 2 -2, 53.35 deg, intensity 26; hkl 3 1 -4, 56.95 deg, intensity 16

Atomic structure:
```
data_Mg3H4O
_space_group_name_H-M_alt 'C 1 2/c 1'
_space_group_IT_number 15
_cell_length_a 10.4659
_cell_length_b 4.9579
_cell_length_c 6.9619
_cell_angle_alpha 90.00
_cell_angle_beta 108.70
_cell_angle_gamma 90.00
loop_
_space_group_symop_operation_xyz
'x,y,z'
'-x,-y,-z'
'-x,y,-z+1/2'
'x,-y,z+1/2'
'x+1/2,y+1/2,z'
'-x+1/2,-y+1/2,-z'
'-x+1/2,y+1/2,-z+1/2'
'x+1/2,-y+1/2,z+1/2'
loop_
_atom_site_label
_atom_site_type_symbol
_atom_site_fract_x
_atom_site_fract_y
_atom_site_fract_z
Mg1 Mg 0.0000 0.0000 0.0000
Mg2 Mg 0.1444 0.4565 0.2594
H1 H 0.1052 0.3278 0.9655
H2 H 0.1823 0.2013 0.6489
O1 O 0.0000 0.1941 0.2500
```

This entry pairs a crystal structure of DyHfIn with its theoretical powder X-ray diffraction pattern. Radiation: CuKα. Structure: a cell relaxed with GGA-PBE.

Largest 10 diffraction maxima, low angle first, 2θ from 15° to 90°:
hkl 1 0 3, 33.47 deg, intensity 100; hkl 1 1 0, 37.50 deg, intensity 37; hkl 0 0 6, 41.41 deg, intensity 14; hkl 2 0 0, 54.07 deg, intensity 13; hkl 1 1 6, 57.09 deg, intensity 21; hkl 2 1 3, 65.11 deg, intensity 29; hkl 2 0 6, 70.32 deg, intensity 11; hkl 1 0 9, 70.48 deg, intensity 11; hkl 2 2 0, 80.01 deg, intensity 4; hkl 3 0 3, 89.56 deg, intensity 6

Atomic structure:
```
data_DyHfIn
_space_group_name_H-M_alt 'I 4 m m'
_space_group_IT_number 107
_space_group_name_Hall 'I 4 -2'
_cell_length_a 3.3920
_cell_length_b 3.3920
_cell_length_c 13.0824
_cell_angle_alpha 90.00
_cell_angle_beta 90.00
_cell_angle_gamma 90.00
loop_
_atom_site_label
_atom_site_type_symbol
_atom_site_fract_x
_atom_site_fract_y
_atom_site_fract_z
Dy1 Dy 0.0000 0.0000 0.0000
Hf1 Hf 0.0000 0.0000 0.3274
In1 In 0.0000 0.0000 0.6740
```

This entry pairs a crystal structure of AgSO3F with its theoretical powder X-ray diffraction pattern. Radiation: CuKα. Structure: a cell relaxed with GGA-PBE.

Largest 10 diffraction maxima, low angle first, 2θ from 15° to 90°:
hkl 1 0 -1, 18.95 deg, intensity 24; hkl 0 0 2, 22.09 deg, intensity 50; hkl 1 1 1, 23.02 deg, intensity 17; hkl 1 2 -1, 28.82 deg, intensity 100; hkl 1 2 1, 29.76 deg, intensity 56; hkl 2 0 0, 32.79 deg, intensity 36; hkl 1 0 3, 38.45 deg, intensity 18; hkl 2 2 0, 39.57 deg, intensity 18; hkl 0 4 0, 43.82 deg, intensity 17; hkl 0 4 2, 49.61 deg, intensity 18

Atomic structure:
```
data_AgSO3F
_space_group_name_H-M_alt 'P 1 21 1'
_space_group_IT_number 4
_cell_length_a 5.4773
_cell_length_b 8.2617
_cell_length_c 8.0717
_cell_angle_alpha 90.00
_cell_angle_beta 94.26
_cell_angle_gamma 90.00
loop_
_space_group_symop_operation_xyz
'x,y,z'
'-x,y+1/2,-z'
loop_
_atom_site_label
_atom_site_type_symbol
_atom_site_fract_x
_atom_site_fract_y
_atom_site_fract_z
Ag1 Ag 0.2097 0.0000 0.1929
Ag2 Ag 0.2101 0.4723 0.2283
S1 S 0.2698 0.7124 0.6354
S2 S 0.3156 0.2376 0.8394
O1 O 0.0495 0.7281 0.7264
O2 O 0.2121 0.0852 0.8928
O3 O 0.2124 0.3845 0.9056
O4 O 0.2659 0.5826 0.5154
O5 O 0.4164 0.7380 0.1604
O6 O 0.5000 0.2312 0.2621
F1 F 0.2265 0.2436 0.6451
F2 F 0.2606 0.8772 0.5243
```

This entry pairs a crystal structure of NaLi2Pr2In5 with its theoretical powder X-ray diffraction pattern. Radiation: CuKα. Structure: a cell relaxed with GGA-PBE.

Largest 10 diffraction maxima, low angle first, 2θ from 15° to 90°:
hkl 2 0 1, 26.11 deg, intensity 32; hkl 2 1 1, 27.53 deg, intensity 100; hkl 2 2 1, 31.44 deg, intensity 36; hkl 3 1 1, 33.82 deg, intensity 92; hkl 4 1 0, 35.92 deg, intensity 82; hkl 3 3 0, 37.00 deg, intensity 26; hkl 3 2 1, 37.13 deg, intensity 42; hkl 0 0 2, 39.58 deg, intensity 40; hkl 4 1 2, 54.51 deg, intensity 48; hkl 5 5 0, 63.90 deg, intensity 26

Atomic structure:
```
data_NaLi2Pr2In5
_space_group_name_H-M_alt 'P 4/m b m'
_space_group_IT_number 127
_space_group_name_Hall '-P 4 2ab'
_cell_length_a 10.3079
_cell_length_b 10.3079
_cell_length_c 4.5541
_cell_angle_alpha 90.00
_cell_angle_beta 90.00
_cell_angle_gamma 90.00
loop_
_atom_site_label
_atom_site_type_symbol
_atom_site_fract_x
_atom_site_fract_y
_atom_site_fract_z
Na1 Na 0.0000 0.0000 0.0000
Li1 Li 0.1122 0.3878 0.0000
Pr1 Pr 0.1815 0.6815 0.0000
In1 In 0.0000 0.5000 0.5000
In2 In 0.0646 0.2097 0.5000
```

This entry pairs a crystal structure of Ce2Ni5C3 with its theoretical powder X-ray diffraction pattern. Radiation: CuKα. Structure: a cell relaxed with GGA-PBE.

Largest 10 diffraction maxima, low angle first, 2θ from 15° to 90°:
hkl 2 1 0, 24.02 deg, intensity 23; hkl 2 1 1, 33.36 deg, intensity 100; hkl 3 1 0, 34.22 deg, intensity 11; hkl 2 2 1, 38.43 deg, intensity 18; hkl 3 2 0, 39.21 deg, intensity 11; hkl 3 1 1, 41.52 deg, intensity 51; hkl 4 1 0, 45.12 deg, intensity 28; hkl 0 0 2, 46.56 deg, intensity 27; hkl 4 1 2, 66.86 deg, intensity 16; hkl 6 0 1, 72.64 deg, intensity 12

Atomic structure:
```
data_Ce2Ni5C3
_space_group_name_H-M_alt 'P 4/m b m'
_space_group_IT_number 127
_space_group_name_Hall '-P 4 2ab'
_cell_length_a 8.2851
_cell_length_b 8.2851
_cell_length_c 3.8998
_cell_angle_alpha 90.00
_cell_angle_beta 90.00
_cell_angle_gamma 90.00
loop_
_atom_site_label
_atom_site_type_symbol
_atom_site_fract_x
_atom_site_fract_y
_atom_site_fract_z
Ce1 Ce 0.1566 0.3434 0.0000
Ni1 Ni 0.0000 0.0000 0.0000
Ni2 Ni 0.0772 0.7879 0.5000
C1 C 0.0000 0.0000 0.5000
C2 C 0.0583 0.5583 0.5000
```

This entry pairs a crystal structure of AgTe4Au2 with its theoretical powder X-ray diffraction pattern. Radiation: CuKα. Structure: a cell relaxed with GGA-PBE.

Largest 10 diffraction maxima, low angle first, 2θ from 15° to 90°:
hkl 2 0 2, 27.22 deg, intensity 53; hkl 1 2 1, 27.80 deg, intensity 100; hkl 1 1 4, 30.21 deg, intensity 31; hkl 1 0 5, 33.44 deg, intensity 41; hkl 3 1 2, 40.74 deg, intensity 25; hkl 3 0 3, 41.33 deg, intensity 33; hkl 2 2 4, 42.89 deg, intensity 39; hkl 2 3 1, 44.83 deg, intensity 18; hkl 2 0 6, 45.14 deg, intensity 19; hkl 4 2 2, 57.43 deg, intensity 21

Atomic structure:
```
data_AgTe4Au2
_space_group_name_H-M_alt 'I 41/a'
_space_group_IT_number 88
_cell_length_a 7.3619
_cell_length_b 7.3619
_cell_length_c 14.3830
_cell_angle_alpha 90.00
_cell_angle_beta 90.00
_cell_angle_gamma 90.00
loop_
_space_group_symop_operation_xyz
'x,y,z'
'-x,-y,-z'
'-y+3/4,x+1/4,z+1/4'
'y+3/4,-x+1/4,-z+1/4'
'-x+1/2,-y,z+1/2'
'x+1/2,y,-z+1/2'
'y+3/4,-x+3/4,z+3/4'
'-y+3/4,x+3/4,-z+3/4'
'x+1/2,y+1/2,z+1/2'
'-x+1/2,-y+1/2,-z+1/2'
'-y+1/4,x+3/4,z+3/4'
'y+1/4,-x+3/4,-z+3/4'
'-x,-y+1/2,z'
'x,y+1/2,-z'
'y+1/4,-x+1/4,z+1/4'
'-y+1/4,x+1/4,-z+1/4'
loop_
_atom_site_label
_atom_site_type_symbol
_atom_site_fract_x
_atom_site_fract_y
_atom_site_fract_z
Ag1 Ag 0.0000 0.2500 0.1250
Te1 Te 0.1647 0.4308 0.3343
Au1 Au 0.0000 0.0000 0.5000
```